# VFeCo6
Theoretical powder diffractogram, a wavelength of 1.5418 Å. Input: DFT lattice parameters and positions (PBE).
Neutral-atom scattering factors, no anomalous dispersion.

Top 4 peaks for 2θ = 10–90°, by intensity:
d_spacing  intensity
2.044  100
1.770  46
1.252  22
1.251  4

Atomic structure:
```
32
Lattice="3.5401 -5.0044 0.0000 3.5401 5.0044 0.0000 0.0000 0.0000 10.0204" Properties=species:S:1:pos:R:3 pbc="T T T"
V 0.0000 0.0000 2.4944
V 0.0000 0.0000 7.5261
V 3.5401 2.5324 0.0000
V 3.5401 -2.5324 0.0000
Fe 3.5401 2.5148 5.0102
Fe 3.5401 0.0000 2.5117
Fe 3.5401 0.0000 7.5087
Fe 3.5401 -2.5148 5.0102
Co 0.0000 0.0000 0.0000
Co 0.0000 0.0000 5.0102
Co 1.7747 1.2566 3.7582
Co 1.7747 1.2566 6.2622
Co 1.7755 1.2487 1.2516
Co 1.7755 1.2487 8.7688
Co 3.5401 2.5005 2.5022
Co 3.5401 2.5005 7.5182
Co 1.7747 -1.2566 3.7582
Co 1.7747 -1.2566 6.2622
Co 1.7755 -1.2487 1.2516
Co 1.7755 -1.2487 8.7688
Co 3.5401 0.0000 0.0000
Co 3.5401 0.0000 5.0102
Co 5.3048 1.2487 1.2516
Co 5.3048 1.2487 8.7688
Co 5.3055 1.2566 3.7582
Co 5.3055 1.2566 6.2622
Co 3.5401 -2.5005 2.5022
Co 3.5401 -2.5005 7.5182
Co 5.3048 -1.2487 1.2516
Co 5.3048 -1.2487 8.7688
Co 5.3055 -1.2566 3.7582
Co 5.3055 -1.2566 6.2622
```